For ErTm7Th2, a structure optimized by DFT (PBE) gives the calculated X-ray diffraction stick pattern in this record (Cu Kα, 1.54184 Å).

Structure:
```
10
Lattice="-1.7917 5.7316 8.2388 1.7917 -5.7316 8.2388 1.7917 5.7316 -8.2388" Properties=species:S:1:pos:R:3 pbc="T T T"
Er 0.0000 0.0000 0.0000
Tm 1.7917 -2.8551 5.7083
Tm 0.0000 0.0000 5.5664
Tm 0.0000 2.8765 2.5305
Tm 0.0000 5.7316 0.0000
Tm 1.7917 2.8551 5.7083
Tm 0.0000 0.0000 10.9112
Tm 0.0000 8.5867 2.5305
Th 1.7917 0.0000 2.8934
Th 0.0000 5.7316 5.3454
```

Principal peaks in the range 2θ from 10° to 90°, in order of rising 2θ:
two_theta	d [Å]	Rel. int.
10.7	8.239	12
15.5	5.732	10
31.2	2.866	32
32.6	2.746	25
33.7	2.659	100
45.8	1.983	20
51.0	1.792	8
57.2	1.612	22
58.9	1.568	17
61.0	1.519	10
61.8	1.501	8
70.9	1.329	11

---

For Ca4Ge3Au5, a structure optimized by DFT (PBE) gives the calculated X-ray diffraction stick pattern in this record (Cu Kα, 1.54184 Å).

Structure:
```
12
Lattice="5.3921 -2.2870 0.0000 5.3921 2.2870 0.0000 -0.9229 0.0000 10.7025" Properties=species:S:1:pos:R:3 pbc="T T T"
Ca 0.0000 0.0000 0.0000
Ca 1.8860 0.0000 3.0428
Ca 4.9292 0.0000 5.3090
Ca 6.8878 0.0000 8.4642
Ge 1.8073 0.0000 6.3064
Ge 3.6825 0.0000 8.2462
Ge 9.4666 0.0000 3.0500
Au -0.5821 0.0000 7.5432
Au 2.2946 0.0000 10.4756
Au 5.0174 0.0000 2.2549
Au 7.5411 0.0000 0.9822
Au 8.0469 0.0000 5.2513
```

Principal peaks in the range 2θ from 10° to 90°, in order of rising 2θ:
two_theta	d [Å]	Rel. int.
16.5	5.359	29
22.4	3.963	100
24.5	3.638	67
32.3	2.772	35
33.4	2.684	60
33.5	2.677	85
38.8	2.320	37
39.4	2.289	94
39.4	2.287	53
47.0	1.935	53
56.5	1.629	25
67.7	1.384	25

---

For RbSiP2O, a structure optimized by DFT (PBE) gives the calculated X-ray diffraction stick pattern in this record (Cu Kα, 1.54184 Å).

Structure:
```
5
Lattice="5.3161 0.0000 0.0000 0.0000 5.3161 0.0000 0.0000 0.0000 3.3415" Properties=species:S:1:pos:R:3 pbc="T T T"
Rb 0.0000 0.0000 0.0000
Si 2.6580 2.6580 1.6708
P 0.0000 2.6580 1.6708
P 2.6580 0.0000 1.6708
O 2.6580 2.6580 0.0000
```

Principal peaks in the range 2θ from 10° to 90°, in order of rising 2θ:
two_theta	d [Å]	Rel. int.
16.7	5.316	21
23.7	3.759	33
31.6	2.829	61
33.7	2.658	100
36.0	2.497	82
46.9	1.937	41
48.4	1.880	33
61.8	1.502	30
66.0	1.415	25
69.7	1.349	13
76.2	1.249	17
80.9	1.189	15

---

For NdTm6Tl3, a structure optimized by DFT (PBE) gives the calculated X-ray diffraction stick pattern in this record (Cu Kα, 1.54184 Å).

Structure:
```
20
Lattice="5.6463 -6.3726 0.0000 5.6463 6.3726 0.0000 0.0000 0.0000 8.4341" Properties=species:S:1:pos:R:3 pbc="T T T"
Nd 5.6463 4.0451 4.2170
Nd 5.6463 -4.0451 0.0000
Tm 2.8971 2.3276 2.6141
Tm 1.8979 0.8269 5.6044
Tm 1.8979 -0.8269 1.3874
Tm 5.6463 2.9180 0.6410
Tm 2.8971 -2.3276 6.8311
Tm 5.6463 0.4685 5.8206
Tm 5.6463 -0.4685 1.6036
Tm 8.3956 2.3276 2.6141
Tm 5.6463 -2.9180 4.8581
Tm 9.3948 0.8269 5.6044
Tm 9.3948 -0.8269 1.3874
Tm 8.3956 -2.3276 6.8311
Tl 5.6463 5.3646 7.2435
Tl 3.4889 1.0729 8.1140
Tl 3.4889 -1.0729 3.8970
Tl 7.8038 1.0729 8.1140
Tl 7.8038 -1.0729 3.8970
Tl 5.6463 -5.3646 3.0264
```

Principal peaks in the range 2θ from 10° to 90°, in order of rising 2θ:
two_theta	d [Å]	Rel. int.
14.8	5.970	21
24.8	3.597	24
30.0	2.983	100
31.7	2.822	33
32.7	2.742	98
33.5	2.672	62
34.0	2.636	74
34.9	2.572	59
38.4	2.342	24
45.3	2.002	18
66.6	1.404	22
71.6	1.318	19

---

For Bi4Pd5Au, a structure optimized by DFT (PBE) gives the calculated X-ray diffraction stick pattern in this record (Cu Kα, 1.54184 Å).

Structure:
```
10
Lattice="5.6510 0.0000 0.0000 0.2553 5.7050 0.0000 1.1399 2.2750 7.0361" Properties=species:S:1:pos:R:3 pbc="T T T"
Bi 0.0000 0.0000 0.0000
Bi 1.0004 2.4054 3.0066
Bi 2.6590 2.4232 0.0353
Bi 3.9829 4.9062 3.0524
Pd 1.2178 5.3436 2.6347
Pd 1.9991 3.9982 5.0810
Pd 2.9099 6.7759 4.8885
Pd 3.1123 5.1772 0.3680
Pd 4.7132 2.9979 4.9250
Au 5.7576 5.9513 5.2774
```

Principal peaks in the range 2θ from 10° to 90°, in order of rising 2θ:
two_theta	d [Å]	Rel. int.
22.8	3.897	67
28.2	3.164	46
29.6	3.016	63
31.5	2.843	41
35.0	2.565	57
36.3	2.475	100
38.1	2.361	85
38.3	2.350	40
38.4	2.345	79
39.1	2.305	46
42.5	2.128	52
44.2	2.049	48

---

For La2Pm3Nd6Y, a structure optimized by DFT (PBE) gives the calculated X-ray diffraction stick pattern in this record (Cu Kα, 1.54184 Å).

Structure:
```
12
Lattice="3.1859 -5.5168 0.0000 3.1859 5.5168 0.0000 -2.1431 0.0000 12.0150" Properties=species:S:1:pos:R:3 pbc="T T T"
La 3.1859 3.6756 0.0000
La 3.1859 -3.6756 0.0000
Pm -1.0716 0.0000 6.0075
Pm 2.1143 1.8356 6.0075
Pm 2.1143 -1.8356 6.0075
Nd -0.0122 1.8337 8.9908
Nd 1.0612 0.0000 3.0274
Nd -0.0122 -1.8337 8.9908
Nd 4.2409 1.8337 3.0243
Nd 3.1675 0.0000 8.9877
Nd 4.2409 -1.8337 3.0243
Y 3.1859 0.0000 0.0000
```

Principal peaks in the range 2θ from 10° to 90°, in order of rising 2θ:
two_theta	d [Å]	Rel. int.
29.7	3.003	100
34.5	2.601	51
49.6	1.839	36
58.9	1.569	32
58.9	1.568	11
61.8	1.502	12
72.7	1.301	6
80.4	1.194	6
80.5	1.193	12
83.0	1.164	11
83.1	1.163	5